Theoretical powder diffraction line list of VCdCuF6 for λ = 1.5418 Å (Cu Kα), from a crystal structure in Alexandria, relaxed with GGA+U.
Kinematic intensities with the Lorentz-polarization factor, no thermal factor.

Principal peaks in the range 2θ from 5° to 70°, by intensity:
2θ/deg  I (rel.)  h k l
25.32  100  1 1 0
32.06  69  1 0 3
49.05  68  2 1 3
62.40  23  3 0 3
51.99  19  2 2 0
60.91  15  1 1 6
19.89  14  1 0 1
36.11  13  2 0 0
36.92  12  1 1 3
58.68  12  3 1 0
54.40  10  0 0 6
41.56  7  2 1 1

Atomic structure:
```
data_VCdCuF6
_chemical_formula_sum 'V2 Cd2 Cu2 F12'
_symmetry_space_group_name_H-M 'P 1'
_symmetry_Int_Tables_number 1
_symmetry_space_group_name_Hall 'P 1'
_cell_length_a 4.9750
_cell_length_b 4.9750
_cell_length_c 10.1198
_cell_angle_alpha 90.00
_cell_angle_beta 90.00
_cell_angle_gamma 90.00
loop_
_atom_site_label
_atom_site_fract_x
_atom_site_fract_y
_atom_site_fract_z
V1 0.0000 0.0000 0.0000
V2 0.5000 0.5000 0.5000
Cd1 0.0000 0.0000 0.3327
Cd2 0.5000 0.5000 0.8327
Cu1 0.0000 0.0000 0.6633
Cu2 0.5000 0.5000 0.1633
F1 0.1849 0.1849 0.8493
F2 0.1923 0.1923 0.1482
F3 0.2199 0.2199 0.4998
F4 0.2801 0.7199 0.9998
F5 0.3077 0.6923 0.6482
F6 0.3151 0.6849 0.3493
F7 0.6849 0.3151 0.3493
F8 0.6923 0.3077 0.6482
F9 0.7199 0.2801 0.9998
F10 0.7801 0.7801 0.4998
F11 0.8077 0.8077 0.1482
F12 0.8151 0.8151 0.8493
```